# HoMg5Ag2
Simulated XRD peak list, Cu Kα. Input: DFT lattice parameters and positions (GGA-PBE).
Lines closer than 0.1° are merged.

Most intense lines, 2θ from 10° to 90°, most intense first:
d [Å], Rel. int., index
2.812, 100, 1 1 2
7.042, 58, 0 1 1
4.515, 57, 0 2 0
2.387, 50, 0 2 4
2.110, 41, 1 3 2
2.676, 30, 1 2 1

Structure:
a b c (Å): 3.4783 9.0302 11.2498
angles (deg): 90.00 90.00 90.00
Space group Immm (No. 71)
Inequivalent atoms, fractional coordinates:
Ho 0.0000 0.0000 0.0000 [2 per cell]
Mg 0.0000 0.2118 0.3592 [8 per cell]
Mg 0.0000 0.5000 0.0000 [2 per cell]
Ag 0.0000 0.5000 0.2646 [4 per cell]

=====

# Sm2Be4Pt5
Simulated XRD peak list, Cu Kα. Input: DFT lattice parameters and positions (GGA-PBE).
Lines closer than 0.1° are merged.

Most intense lines, 2θ from 10° to 90°, most intense first:
d [Å], Rel. int., index
2.382, 100, 2 2 0
2.764, 75, 0 2 4
3.292, 54, 1 1 3
2.351, 48, 0 4 0
2.148, 38, 2 0 4
1.388, 36, 2 2 8

Structure:
a b c (Å): 5.5251 9.4028 13.6673
angles (deg): 90.00 90.00 90.00
Space group Fmmm (No. 69)
Inequivalent atoms, fractional coordinates:
Sm 0.0000 0.0000 0.1319 [8 per cell]
Be 0.0000 0.1627 0.3718 [16 per cell]
Pt 0.0000 0.0000 0.5000 [4 per cell]
Pt 0.2500 0.2500 0.0000 [8 per cell]
Pt 0.2500 0.2500 0.2500 [8 per cell]

=====

# Cu2Pb3Cl8
Simulated XRD peak list, Cu Kα. Input: DFT lattice parameters and positions (GGA-PBE).
Lines closer than 0.1° are merged.

Most intense lines, 2θ from 10° to 90°, most intense first:
d [Å], Rel. int., index
6.417, 100, 2 0 0
3.588, 64, 0 2 1
2.911, 53, 2 2 1
3.572, 33, 2 0 -2
2.103, 31, 2 2 -3
2.896, 27, 4 0 -2

Structure:
a b c (Å): 13.7007 8.4389 7.2768
angles (deg): 90.00 110.50 90.00
Space group C2/m (No. 12)
Inequivalent atoms, fractional coordinates:
Cu 0.1070 0.0000 0.0750 [4 per cell]
Pb 0.0000 0.2378 0.5000 [4 per cell]
Pb 0.0000 0.5000 0.0000 [2 per cell]
Cl 0.1192 0.5000 0.7371 [4 per cell]
Cl 0.1207 0.2339 0.2360 [8 per cell]
Cl 0.1256 0.0000 0.7764 [4 per cell]

=====

# Rb2GaSnAu6
Simulated XRD peak list, Cu Kα. Input: DFT lattice parameters and positions (GGA-PBE).
Lines closer than 0.1° are merged.

Most intense lines, 2θ from 10° to 90°, most intense first:
d [Å], Rel. int., index
2.579, 100, 2 2 -2
2.879, 71, 2 2 0
5.157, 49, 1 1 -1
6.296, 42, 0 0 1
6.060, 40, 2 0 -1
2.348, 37, 2 2 1

Structure:
a b c (Å): 12.6412 6.9394 7.7129
angles (deg): 90.00 125.28 90.00
Space group C2/m (No. 12)
Inequivalent atoms, fractional coordinates:
Rb 0.2460 0.0000 0.1578 [4 per cell]
Ga 0.0000 0.0000 0.5000 [2 per cell]
Sn 0.0000 0.5000 0.0000 [2 per cell]
Au 0.0582 0.2450 0.3165 [8 per cell]
Au 0.2464 0.0000 0.6465 [4 per cell]

=====

# Dy2TmNpO8
Simulated XRD peak list, Cu Kα. Input: DFT lattice parameters and positions (GGA-PBE).
Lines closer than 0.1° are merged.

Most intense lines, 2θ from 10° to 90°, most intense first:
d [Å], Rel. int., index
2.868, 100, 1 1 2
3.625, 56, 0 2 0
3.548, 51, 2 0 0
1.911, 40, 1 3 2
1.888, 37, 3 1 2
2.536, 31, 2 2 0

Structure:
a b c (Å): 7.0968 7.2498 6.9540
angles (deg): 90.00 90.00 90.00
Space group Cmmm (No. 65)
Inequivalent atoms, fractional coordinates:
Dy 0.0000 0.0000 0.2397 [4 per cell]
Tm 0.0000 0.5000 0.0000 [2 per cell]
Np 0.0000 0.5000 0.5000 [2 per cell]
O 0.0000 0.3181 0.2738 [8 per cell]
O 0.1949 0.0000 0.0000 [4 per cell]
O 0.2174 0.0000 0.5000 [4 per cell]

=====

# PmHoMgAu
Simulated XRD peak list, Cu Kα. Input: DFT lattice parameters and positions (GGA-PBE).
Lines closer than 0.1° are merged.

Most intense lines, 2θ from 10° to 90°, most intense first:
d [Å], Rel. int., index
2.623, 100, 1 0 2
2.638, 53, 1 1 0
7.376, 43, 0 0 1
1.520, 38, 2 1 2
1.865, 19, 2 0 0
1.511, 16, 1 1 4

Structure:
a b c (Å): 3.7305 3.7305 7.3764
angles (deg): 90.00 90.00 90.00
Space group P4mm (No. 99)
Inequivalent atoms, fractional coordinates:
Pm 0.0000 0.0000 0.0000 [1 per cell]
Ho 0.0000 0.0000 0.4704 [1 per cell]
Mg 0.5000 0.5000 0.7266 [1 per cell]
Au 0.5000 0.5000 0.2591 [1 per cell]